Computed powder XRD pattern
Compound: YTl2MoO6
Radiation: a wavelength of 1.5418 Å
Structure: a DFT-relaxed cell (GGA+U, Alexandria)
Kinematic intensities with the Lorentz-polarization factor, no thermal factor.

Cell and atoms:
a b c (Å): 6.4847 6.4847 5.9180
angles (deg): 90.00 90.00 120.00
Space group P-3m1 (No. 164)
Asymmetric unit:
Y  0.0000  0.0000  0.0000 x1
Tl  0.3333  0.6667  0.5370 x2
Mo  0.0000  0.0000  0.5000 x1
O  0.1358  0.2717  0.7074 x6

Principal peaks in the range 10 to 80 degrees two-theta, sorted by position:
two_theta, Rel. int.
14.97, 78
21.82, 44
27.51, 100
30.20, 17
31.46, 67
41.31, 67
45.39, 17
48.64, 20
51.18, 18
58.33, 25